(1)
Structure and simulated X-ray powder pattern of LaTb4Dy10 (a cell relaxed with GGA-PBE; copper Kα).

Top 10 peaks for 2θ from 10° to 90°, sorted by position:
(1 0 1), 15.19°, 5.832 Å, rel. 26; (2 3 1), 28.57°, 3.124 Å, rel. 32; (1 1 2), 28.99°, 3.080 Å, rel. 58; (3 3 0), 29.57°, 3.021 Å, rel. 35; (4 2 0), 31.21°, 2.866 Å, rel. 100; (1 3 2), 35.24°, 2.547 Å, rel. 83; (1 5 0), 35.73°, 2.513 Å, rel. 38; (4 2 2), 41.90°, 2.156 Å, rel. 30; (1 5 2), 45.50°, 1.994 Å, rel. 34; (6 2 2), 53.16°, 1.723 Å, rel. 27

Structural model:
```
data_LaTb4Dy10
_chemical_formula_sum 'La2 Tb8 Dy20'
_symmetry_space_group_name_H-M 'I 4/m'
_symmetry_Int_Tables_number 87
_symmetry_space_group_name_Hall '-I 4'
_cell_length_a 12.8151
_cell_length_b 12.8151
_cell_length_c 6.5490
_cell_angle_alpha 90.00
_cell_angle_beta 90.00
_cell_angle_gamma 90.00
loop_
_atom_site_label
_atom_site_fract_x
_atom_site_fract_y
_atom_site_fract_z
_atom_site_occupancy
La1 0.0000 0.0000 0.0000 1
Tb1 0.0671 0.8256 0.5000 1
Dy1 0.0000 0.5000 0.2500 1
Dy2 0.1293 0.2920 0.2491 1
```

***

(2)
Structure and simulated X-ray powder pattern of Cs3LiI6 (a cell relaxed with GGA-PBE; copper Kα).

Top 10 peaks for 2θ from 10° to 90°, sorted by position:
(2 2 2), 23.70°, 3.755 Å, rel. 100; (4 0 0), 27.43°, 3.252 Å, rel. 89; (3 3 1), 29.94°, 2.984 Å, rel. 28; (3 3 3), 35.87°, 2.503 Å, rel. 17; (4 4 0), 39.18°, 2.299 Å, rel. 60; (6 2 2), 46.30°, 1.961 Å, rel. 35; (4 4 4), 48.49°, 1.877 Å, rel. 19; (7 3 1), 54.16°, 1.693 Å, rel. 19; (7 3 3), 58.04°, 1.589 Å, rel. 14; (8 4 0), 64.03°, 1.454 Å, rel. 20

Structural model:
```
data_Cs3LiI6
_chemical_formula_sum 'Cs12 Li4 I24'
_symmetry_space_group_name_H-M 'F m -3 m'
_symmetry_Int_Tables_number 225
_symmetry_space_group_name_Hall '-F 4 2 3'
_cell_length_a 13.0074
_cell_length_b 13.0074
_cell_length_c 13.0074
_cell_angle_alpha 90.00
_cell_angle_beta 90.00
_cell_angle_gamma 90.00
loop_
_atom_site_label
_atom_site_fract_x
_atom_site_fract_y
_atom_site_fract_z
_atom_site_occupancy
Cs1 0.0000 0.0000 0.0000 1
Cs2 0.2500 0.2500 0.2500 1
Li1 0.0000 0.0000 0.5000 1
I1 0.0000 0.0000 0.2793 1
```

***

(3)
Structure and simulated X-ray powder pattern of LaHfRu (a cell relaxed with GGA-PBE; copper Kα).

Top 10 peaks for 2θ from 10° to 90°, sorted by position:
(2 0 2), 31.53°, 2.837 Å, rel. 92; (2 4 0), 34.64°, 2.589 Å, rel. 100; (0 4 2), 37.58°, 2.393 Å, rel. 63; (4 0 0), 40.08°, 2.250 Å, rel. 37; (0 3 3), 42.80°, 2.113 Å, rel. 46; (4 4 2), 56.11°, 1.639 Å, rel. 40; (2 2 4), 56.22°, 1.636 Å, rel. 16; (2 1 5), 67.71°, 1.384 Å, rel. 14; (2 7 3), 67.81°, 1.382 Å, rel. 22; (6 4 0), 69.33°, 1.355 Å, rel. 13

Structural model:
```
data_LaHfRu
_chemical_formula_sum 'La12 Hf12 Ru12'
_symmetry_space_group_name_H-M 'I m a 2'
_symmetry_Int_Tables_number 46
_cell_length_a 8.9986
_cell_length_b 12.6553
_cell_length_c 7.3178
_cell_angle_alpha 90.00
_cell_angle_beta 90.00
_cell_angle_gamma 90.00
loop_
_symmetry_equiv_pos_as_xyz
'x,y,z'
'-x,-y,z'
'-x+1/2,y,z'
'x+1/2,-y,z'
'x+1/2,y+1/2,z+1/2'
'-x+1/2,-y+1/2,z+1/2'
'-x,y+1/2,z+1/2'
'x,-y+1/2,z+1/2'
loop_
_atom_site_label
_atom_site_fract_x
_atom_site_fract_y
_atom_site_fract_z
_atom_site_occupancy
La1 0.2500 0.0001 0.0000 1
La2 0.2500 0.2131 0.6381 1
La3 0.2500 0.7129 0.1389 1
Hf1 0.0000 0.0000 0.6684 1
Hf2 0.9998 0.1213 0.3045 1
Ru1 0.9999 0.1667 0.9257 1
Ru2 0.2500 0.0002 0.4262 1
```

***

(4)
Structure and simulated X-ray powder pattern of La4InBiH (a cell relaxed with GGA-PBE; copper Kα).

Top 10 peaks for 2θ from 10° to 90°, sorted by position:
(2 0 0), 26.38°, 3.378 Å, rel. 23; (2 2 0), 28.17°, 3.168 Å, rel. 91; (0 6 0), 29.38°, 3.040 Å, rel. 35; (1 5 1), 30.84°, 2.899 Å, rel. 37; (2 4 0), 33.00°, 2.715 Å, rel. 100; (2 0 2), 37.65°, 2.389 Å, rel. 66; (1 7 1), 39.39°, 2.288 Å, rel. 16; (2 6 2), 48.46°, 1.878 Å, rel. 35; (1 11 1), 58.96°, 1.566 Å, rel. 16; (3 11 1), 72.10°, 1.310 Å, rel. 18

Structural model:
```
data_La4InBiH
_chemical_formula_sum 'La16 In4 Bi4 H4'
_symmetry_space_group_name_H-M 'C m c m'
_symmetry_Int_Tables_number 63
_symmetry_space_group_name_Hall '-C 2c 2'
_cell_length_a 6.7459
_cell_length_b 18.2393
_cell_length_c 6.7676
_cell_angle_alpha 90.00
_cell_angle_beta 90.00
_cell_angle_gamma 90.00
loop_
_atom_site_label
_atom_site_fract_x
_atom_site_fract_y
_atom_site_fract_z
_atom_site_occupancy
La1 0.0000 0.0678 0.2500 1
La2 0.0000 0.4275 0.2500 1
La3 0.2500 0.2500 0.0000 1
In1 0.0000 0.1142 0.7500 1
Bi1 0.0000 0.3869 0.7500 1
H1 0.0000 0.2924 0.2500 1
```

***

(5)
Structure and simulated X-ray powder pattern of KNaThF6 (a cell relaxed with GGA-PBE; copper Kα).

Top 10 peaks for 2θ from 10° to 90°, sorted by position:
(0 0 1), 11.12°, 7.959 Å, rel. 75; (1 0 0), 16.04°, 5.524 Å, rel. 58; (1 0 1), 19.56°, 4.538 Å, rel. 100; (1 0 2), 27.63°, 3.229 Å, rel. 97; (1 1 0), 27.98°, 3.189 Å, rel. 69; (2 -1 1), 30.19°, 2.961 Å, rel. 28; (0 2 2), 39.72°, 2.269 Å, rel. 69; (2 1 1), 44.88°, 2.020 Å, rel. 22; (2 1 2), 49.29°, 1.849 Å, rel. 59; (3 0 0), 49.50°, 1.841 Å, rel. 26

Structural model:
```
data_KNaThF6
_chemical_formula_sum 'K2 Na2 Th2 F12'
_symmetry_space_group_name_H-M 'P -3'
_symmetry_Int_Tables_number 147
_cell_length_a 6.3787
_cell_length_b 6.3787
_cell_length_c 7.9590
_cell_angle_alpha 90.00
_cell_angle_beta 90.00
_cell_angle_gamma 120.00
loop_
_symmetry_equiv_pos_as_xyz
'x,y,z'
'-x,-y,-z'
'-y,x-y,z'
'y,-x+y,-z'
'-x+y,-x,z'
'x-y,x,-z'
loop_
_atom_site_label
_atom_site_fract_x
_atom_site_fract_y
_atom_site_fract_z
_atom_site_occupancy
K1 0.3333 0.6667 0.1092 1
Na1 0.0000 0.0000 0.2675 1
Th1 0.3333 0.6667 0.6216 1
F1 0.0769 0.3896 0.4032 1
F2 0.1080 0.3829 0.8211 1
```

***

(6)
Structure and simulated X-ray powder pattern of CeNdDy5 (a cell relaxed with GGA-PBE; copper Kα).

Top 10 peaks for 2θ from 10° to 90°, sorted by position:
(1 0 -4), 30.72°, 2.911 Å, rel. 99; (1 1 2), 30.79°, 2.904 Å, rel. 98; (2 1 -2), 35.66°, 2.518 Å, rel. 100; (1 2 -6), 51.23°, 1.783 Å, rel. 24; (2 -3 2), 51.36°, 1.779 Å, rel. 47; (1 -3 6), 60.93°, 1.521 Å, rel. 21; (3 1 -6), 61.04°, 1.518 Å, rel. 49; (4 0 -2), 61.15°, 1.516 Å, rel. 14; (0 4 -4), 64.09°, 1.453 Å, rel. 12; (5 0 -6), 86.50°, 1.125 Å, rel. 14

Structural model:
```
data_CeNdDy5
_chemical_formula_sum 'Ce2 Nd2 Dy10'
_symmetry_space_group_name_H-M 'P -1'
_symmetry_Int_Tables_number 2
_cell_length_a 6.1574
_cell_length_b 6.1648
_cell_length_c 12.3650
_cell_angle_alpha 99.65
_cell_angle_beta 99.66
_cell_angle_gamma 99.62
loop_
_symmetry_equiv_pos_as_xyz
'x,y,z'
'-x,-y,-z'
loop_
_atom_site_label
_atom_site_fract_x
_atom_site_fract_y
_atom_site_fract_z
_atom_site_occupancy
Ce1 0.0000 0.0000 0.0000 1
Ce2 0.0000 0.0000 0.5000 1
Nd1 0.1400 0.2801 0.2840 1
Dy1 0.1436 0.2827 0.7861 1
Dy2 0.2815 0.5716 0.0699 1
Dy3 0.2832 0.5705 0.5708 1
Dy4 0.4304 0.8588 0.8596 1
Dy5 0.4312 0.8594 0.3591 1
```

***

(7)
Structure and simulated X-ray powder pattern of GaSn4Se6 (a cell relaxed with GGA-PBE; copper Kα).

Top 10 peaks for 2θ from 10° to 90°, sorted by position:
(3 1 -2), 21.65°, 4.104 Å, rel. 100; (4 0 -2), 23.30°, 3.818 Å, rel. 49; (2 0 2), 24.43°, 3.644 Å, rel. 90; (2 2 -2), 27.49°, 3.245 Å, rel. 38; (0 2 2), 27.82°, 3.206 Å, rel. 46; (1 1 3), 29.19°, 3.059 Å, rel. 72; (6 0 -2), 35.19°, 2.550 Å, rel. 41; (4 2 -4), 37.79°, 2.381 Å, rel. 50; (5 1 -5), 38.92°, 2.314 Å, rel. 38; (6 2 -2), 42.58°, 2.123 Å, rel. 69

Structural model:
```
data_GaSn4Se6
_chemical_formula_sum 'Ga4 Sn16 Se24'
_symmetry_space_group_name_H-M 'C 1 c 1'
_symmetry_Int_Tables_number 9
_cell_length_a 15.3778
_cell_length_b 7.6812
_cell_length_c 13.2487
_cell_angle_alpha 90.00
_cell_angle_beta 118.42
_cell_angle_gamma 90.00
loop_
_symmetry_equiv_pos_as_xyz
'x,y,z'
'x,-y,z+1/2'
'x+1/2,y+1/2,z'
'x+1/2,-y+1/2,z+1/2'
loop_
_atom_site_label
_atom_site_fract_x
_atom_site_fract_y
_atom_site_fract_z
_atom_site_occupancy
Ga1 0.0000 0.2122 0.0000 1
Sn1 0.0895 0.1825 0.7651 1
Sn2 0.2369 0.4023 0.2723 1
Sn3 0.2772 0.0140 0.5730 1
Sn4 0.4682 0.1666 0.9041 1
Se1 0.1423 0.1433 0.3656 1
Se2 0.1694 0.2939 0.0486 1
Se3 0.2687 0.2307 0.7301 1
Se4 0.4093 0.2546 0.2940 1
Se5 0.4541 0.4356 0.0464 1
Se6 0.4693 0.0332 0.5907 1
```

***

(8)
Structure and simulated X-ray powder pattern of Ba2TlAgO4 (a cell relaxed with GGA-PBE; copper Kα).

Top 10 peaks for 2θ from 10° to 90°, sorted by position:
(2 0 0), 28.27°, 3.157 Å, rel. 44; (1 1 2), 29.77°, 3.001 Å, rel. 100; (2 2 0), 40.40°, 2.233 Å, rel. 26; (3 1 2), 50.98°, 1.791 Å, rel. 44; (2 0 4), 53.75°, 1.706 Å, rel. 22; (2 2 4), 61.83°, 1.501 Å, rel. 10; (3 3 2), 66.98°, 1.397 Å, rel. 10; (1 5 2), 81.22°, 1.184 Å, rel. 11; (2 4 4), 83.43°, 1.159 Å, rel. 12; (1 3 6), 87.09°, 1.119 Å, rel. 10

Structural model:
```
data_Ba2TlAgO4
_chemical_formula_sum 'Ba4 Tl2 Ag2 O8'
_symmetry_space_group_name_H-M 'I -4'
_symmetry_Int_Tables_number 82
_cell_length_a 6.3146
_cell_length_b 6.3146
_cell_length_c 8.1067
_cell_angle_alpha 90.00
_cell_angle_beta 90.00
_cell_angle_gamma 90.00
loop_
_symmetry_equiv_pos_as_xyz
'x,y,z'
'y,-x,-z'
'-x,-y,z'
'-y,x,-z'
'x+1/2,y+1/2,z+1/2'
'y+1/2,-x+1/2,-z+1/2'
'-x+1/2,-y+1/2,z+1/2'
'-y+1/2,x+1/2,-z+1/2'
loop_
_atom_site_label
_atom_site_fract_x
_atom_site_fract_y
_atom_site_fract_z
_atom_site_occupancy
Ba1 0.0000 0.0000 0.0000 1
Ba2 0.0000 0.5000 0.2500 1
Tl1 0.0000 0.5000 0.7500 1
Ag1 0.0000 0.0000 0.5000 1
O1 0.2099 0.2658 0.6312 1
```

***

(9)
Structure and simulated X-ray powder pattern of CaZrAg2 (a cell relaxed with GGA-PBE; copper Kα).

Top 10 peaks for 2θ from 10° to 90°, sorted by position:
(0 0 1), 12.02°, 7.363 Å, rel. 46; (0 1 2), 35.17°, 2.552 Å, rel. 98; (1 0 2), 35.39°, 2.537 Å, rel. 96; (1 1 0), 36.09°, 2.489 Å, rel. 100; (0 2 0), 51.64°, 1.770 Å, rel. 17; (2 0 0), 52.29°, 1.750 Å, rel. 19; (1 1 4), 62.79°, 1.480 Å, rel. 25; (1 2 2), 64.16°, 1.452 Å, rel. 31; (2 1 2), 64.58°, 1.443 Å, rel. 31; (2 0 4), 74.90°, 1.268 Å, rel. 17

Structural model:
```
data_CaZrAg2
_chemical_formula_sum 'Ca1 Zr1 Ag2'
_symmetry_space_group_name_H-M 'P m m m'
_symmetry_Int_Tables_number 47
_cell_length_a 3.4999
_cell_length_b 3.5400
_cell_length_c 7.3630
_cell_angle_alpha 90.00
_cell_angle_beta 90.00
_cell_angle_gamma 90.00
loop_
_symmetry_equiv_pos_as_xyz
'x,y,z'
'-x,-y,-z'
'-x,-y,z'
'x,y,-z'
'x,-y,-z'
'-x,y,z'
'-x,y,-z'
'x,-y,z'
loop_
_atom_site_label
_atom_site_fract_x
_atom_site_fract_y
_atom_site_fract_z
_atom_site_occupancy
Ca1 0.0000 0.0000 0.0000 1
Zr1 0.0000 0.0000 0.5000 1
Ag1 0.5000 0.5000 0.2803 1
```

***

(10)
Structure and simulated X-ray powder pattern of Pu2MgZnO8 (a cell relaxed with GGA-PBE; copper Kα).

Top 10 peaks for 2θ from 10° to 90°, sorted by position:
(1 0 1), 19.17°, 4.630 Å, rel. 65; (1 1 2), 29.86°, 2.992 Å, rel. 100; (1 0 3), 31.02°, 2.883 Å, rel. 17; (2 0 0), 34.71°, 2.584 Å, rel. 21; (1 2 1), 39.95°, 2.257 Å, rel. 20; (2 1 3), 47.23°, 1.924 Å, rel. 14; (2 0 4), 49.69°, 1.835 Å, rel. 32; (2 2 0), 49.90°, 1.827 Å, rel. 17; (1 1 6), 58.87°, 1.569 Å, rel. 15; (3 1 2), 59.25°, 1.560 Å, rel. 30

Structural model:
```
data_Pu2MgZnO8
_chemical_formula_sum 'Pu4 Mg2 Zn2 O16'
_symmetry_space_group_name_H-M 'I -4'
_symmetry_Int_Tables_number 82
_cell_length_a 5.1688
_cell_length_b 5.1688
_cell_length_c 10.4205
_cell_angle_alpha 90.00
_cell_angle_beta 90.00
_cell_angle_gamma 90.00
loop_
_symmetry_equiv_pos_as_xyz
'x,y,z'
'y,-x,-z'
'-x,-y,z'
'-y,x,-z'
'x+1/2,y+1/2,z+1/2'
'y+1/2,-x+1/2,-z+1/2'
'-x+1/2,-y+1/2,z+1/2'
'-y+1/2,x+1/2,-z+1/2'
loop_
_atom_site_label
_atom_site_fract_x
_atom_site_fract_y
_atom_site_fract_z
_atom_site_occupancy
Pu1 0.0000 0.0000 0.0000 1
Pu2 0.0000 0.5000 0.2500 1
Mg1 0.0000 0.0000 0.5000 1
Zn1 0.0000 0.5000 0.7500 1
O1 0.2018 0.7208 0.4057 1
O2 0.2041 0.2339 0.8452 1
```

***

(11)
Structure and simulated X-ray powder pattern of LaTbPCl (a cell relaxed with GGA-PBE; copper Kα).

Top 10 peaks for 2θ from 10° to 90°, sorted by position:
(0 0 6), 24.59°, 3.620 Å, rel. 22; (1 0 1), 25.83°, 3.449 Å, rel. 58; (0 1 2), 26.81°, 3.326 Å, rel. 22; (1 0 4), 30.42°, 2.938 Å, rel. 41; (0 1 5), 32.90°, 2.722 Å, rel. 100; (1 1 0), 44.94°, 2.017 Å, rel. 44; (1 0 10), 49.41°, 1.845 Å, rel. 26; (1 1 6), 51.89°, 1.762 Å, rel. 19; (2 0 5), 56.81°, 1.621 Å, rel. 20; (1 2 5), 75.21°, 1.263 Å, rel. 18

Structural model:
```
data_LaTbPCl
_chemical_formula_sum 'La3 Tb3 P3 Cl3'
_symmetry_space_group_name_H-M 'R 3 m'
_symmetry_Int_Tables_number 160
_symmetry_space_group_name_Hall 'R 3 -2"'
_cell_length_a 4.0339
_cell_length_b 4.0339
_cell_length_c 21.7207
_cell_angle_alpha 90.00
_cell_angle_beta 90.00
_cell_angle_gamma 120.00
loop_
_atom_site_label
_atom_site_fract_x
_atom_site_fract_y
_atom_site_fract_z
_atom_site_occupancy
La1 0.0000 0.0000 0.0000 1
Tb1 0.0000 0.0000 0.8085 1
P1 0.0000 0.0000 0.4109 1
Cl1 0.0000 0.0000 0.2309 1
```

***

(12)
Structure and simulated X-ray powder pattern of LiVCoRh (a cell relaxed with GGA-PBE; copper Kα).

Top 10 peaks for 2θ from 10° to 90°, sorted by position:
(1 1 1), 26.74°, 3.334 Å, rel. 22; (2 0 0), 30.98°, 2.887 Å, rel. 35; (2 2 0), 44.38°, 2.041 Å, rel. 100; (3 1 1), 52.57°, 1.741 Å, rel. 9; (2 2 2), 55.10°, 1.667 Å, rel. 9; (4 0 0), 64.56°, 1.443 Å, rel. 15; (3 3 1), 71.18°, 1.325 Å, rel. 4; (4 2 0), 73.33°, 1.291 Å, rel. 11; (4 2 2), 81.70°, 1.179 Å, rel. 30; (5 1 1), 87.86°, 1.111 Å, rel. 3

Structural model:
```
data_LiVCoRh
_chemical_formula_sum 'Li4 V4 Co4 Rh4'
_symmetry_space_group_name_H-M 'F -4 3 m'
_symmetry_Int_Tables_number 216
_symmetry_space_group_name_Hall 'F -4 2 3'
_cell_length_a 5.7739
_cell_length_b 5.7739
_cell_length_c 5.7739
_cell_angle_alpha 90.00
_cell_angle_beta 90.00
_cell_angle_gamma 90.00
loop_
_atom_site_label
_atom_site_fract_x
_atom_site_fract_y
_atom_site_fract_z
_atom_site_occupancy
Li1 0.0000 0.0000 0.0000 1
V1 0.0000 0.0000 0.5000 1
Co1 0.2500 0.2500 0.7500 1
Rh1 0.2500 0.2500 0.2500 1
```

***

(13)
Structure and simulated X-ray powder pattern of MnTc5 (a cell relaxed with GGA-PBE; copper Kα).

Top 10 peaks for 2θ from 10° to 90°, sorted by position:
(0 1 3), 38.09°, 2.363 Å, rel. 24; (0 0 6), 38.30°, 2.350 Å, rel. 13; (2 0 0), 41.40°, 2.181 Å, rel. 38; (1 1 3), 43.56°, 2.078 Å, rel. 100; (1 0 6), 43.76°, 2.069 Å, rel. 47; (2 1 3), 57.51°, 1.603 Å, rel. 14; (0 1 9), 69.11°, 1.359 Å, rel. 15; (3 1 3), 77.01°, 1.238 Å, rel. 18; (2 1 9), 83.88°, 1.153 Å, rel. 18; (1 2 6), 85.07°, 1.140 Å, rel. 13

Structural model:
```
data_MnTc5
_chemical_formula_sum 'Mn2 Tc10'
_symmetry_space_group_name_H-M 'A m m 2'
_symmetry_Int_Tables_number 38
_cell_length_a 4.3619
_cell_length_b 2.7333
_cell_length_c 14.0989
_cell_angle_alpha 90.00
_cell_angle_beta 90.00
_cell_angle_gamma 90.00
loop_
_symmetry_equiv_pos_as_xyz
'x,y,z'
'-x,-y,z'
'-x,y,z'
'x,-y,z'
'x,y+1/2,z+1/2'
'-x,-y+1/2,z+1/2'
'-x,y+1/2,z+1/2'
'x,-y+1/2,z+1/2'
loop_
_atom_site_label
_atom_site_fract_x
_atom_site_fract_y
_atom_site_fract_z
_atom_site_occupancy
Mn1 0.0000 0.0000 0.0000 1
Tc1 0.0000 0.0000 0.3392 1
Tc2 0.0000 0.0000 0.6631 1
Tc3 0.5000 0.0000 0.1107 1
Tc4 0.5000 0.0000 0.4491 1
Tc5 0.5000 0.0000 0.7790 1
```